Entry 1:
Computed PXRD pattern
Compound: LaDy2Cr2C4
Radiation: Cu Kα (weighted mean of Kα1 and Kα2)
Structure: a DFT-relaxed cell (PBE, Alexandria)
Neutral-atom scattering factors, no anomalous dispersion.

Cell and atoms:
Unit cell a=7.018 b=7.018 c=6.350 alpha=115.48 beta=115.48 gamma=28.28
Positions (direct):
La  0.000  0.000  0.000
Dy  0.131  0.131  0.555
Dy  0.869  0.869  0.445
Cr  0.322  0.322  0.024
Cr  0.678  0.678  0.976
C  0.220  0.220  0.165
C  0.464  0.464  0.278
C  0.536  0.536  0.722
C  0.780  0.780  0.835

Peak list (10 most intense, 2θ = 10–90°, by intensity)
| 2theta | I (rel.) |
| --- | --- |
| 39.2 | 100 |
| 33.3 | 83 |
| 41.9 | 81 |
| 26.3 | 81 |
| 27.0 | 73 |
| 31.4 | 62 |
| 53.4 | 38 |
| 42.4 | 31 |
| 75.4 | 22 |
| 28.1 | 21 |

Entry 2:
Computed PXRD pattern
Compound: ErPa2CrC4
Radiation: Cu Kα (weighted mean of Kα1 and Kα2)
Structure: a DFT-relaxed cell (PBE, Alexandria)
Neutral-atom scattering factors, no anomalous dispersion.

Cell and atoms:
Unit cell a=5.974 b=5.974 c=12.139 alpha=90.00 beta=90.00 gamma=145.67
Positions (direct):
Er  0.110  0.890  0.750
Er  0.890  0.110  0.250
Pa  0.366  0.634  0.547
Pa  0.366  0.634  0.953
Pa  0.634  0.366  0.047
Pa  0.634  0.366  0.453
Cr  0.161  0.839  0.250
Cr  0.839  0.161  0.750
C  0.000  0.000  0.000
C  0.000  0.000  0.500
C  0.266  0.734  0.132
C  0.266  0.734  0.368
C  0.418  0.582  0.750
C  0.582  0.418  0.250
C  0.734  0.266  0.632
C  0.734  0.266  0.868

Peak list (10 most intense, 2θ = 10–90°, by intensity)
| 2theta | I (rel.) |
| --- | --- |
| 30.3 | 100 |
| 27.0 | 91 |
| 37.8 | 76 |
| 31.3 | 56 |
| 46.1 | 38 |
| 34.7 | 38 |
| 29.4 | 28 |
| 35.5 | 26 |
| 51.6 | 25 |
| 59.4 | 22 |

Entry 3:
Computed PXRD pattern
Compound: Er2ThCrC4
Radiation: Cu Kα (weighted mean of Kα1 and Kα2)
Structure: a DFT-relaxed cell (PBE, Alexandria)
Neutral-atom scattering factors, no anomalous dispersion.

Cell and atoms:
Unit cell a=6.163 b=6.163 c=11.853 alpha=90.00 beta=90.00 gamma=147.22
Positions (direct):
Er  0.131  0.869  0.545
Er  0.131  0.869  0.955
Er  0.869  0.131  0.045
Er  0.869  0.131  0.455
Th  0.406  0.594  0.750
Th  0.594  0.406  0.250
Cr  0.329  0.671  0.250
Cr  0.671  0.329  0.750
C  0.084  0.916  0.750
C  0.234  0.766  0.133
C  0.234  0.766  0.367
C  0.500  0.500  0.000
C  0.500  0.500  0.500
C  0.766  0.234  0.633
C  0.766  0.234  0.867
C  0.916  0.084  0.250

Peak list (10 most intense, 2θ = 10–90°, by intensity)
| 2theta | I (rel.) |
| --- | --- |
| 30.7 | 100 |
| 27.1 | 74 |
| 30.2 | 74 |
| 35.2 | 49 |
| 52.2 | 43 |
| 37.7 | 43 |
| 47.0 | 25 |
| 49.1 | 23 |
| 61.9 | 20 |
| 60.2 | 17 |

Entry 4:
Computed PXRD pattern
Compound: ErU2Cr2C4
Radiation: Cu Kα (weighted mean of Kα1 and Kα2)
Structure: a DFT-relaxed cell (PBE, Alexandria)
Neutral-atom scattering factors, no anomalous dispersion.

Cell and atoms:
Unit cell a=6.687 b=6.687 c=5.909 alpha=106.91 beta=106.91 gamma=27.75
Positions (direct):
Er  0.000  0.000  0.000
U  0.128  0.128  0.536
U  0.872  0.872  0.464
Cr  0.316  0.316  0.991
Cr  0.684  0.684  0.009
C  0.228  0.228  0.229
C  0.452  0.452  0.260
C  0.548  0.548  0.740
C  0.772  0.772  0.771

Peak list (10 most intense, 2θ = 10–90°, by intensity)
| 2theta | I (rel.) |
| --- | --- |
| 41.7 | 100 |
| 28.8 | 74 |
| 36.1 | 64 |
| 28.4 | 59 |
| 31.7 | 56 |
| 37.1 | 36 |
| 45.2 | 23 |
| 59.7 | 20 |
| 55.2 | 19 |
| 67.3 | 18 |